Structure and calculated powder diffractogram of Na5Ni8O16 (a crystal structure in Alexandria, relaxed with PBE+U; λ = 1.5418 Å (Cu Kα)).
Neutral-atom scattering factors, no anomalous dispersion.

a b c (Å): 5.8626 6.8971 8.2517
angles (deg): 80.78 77.72 79.09
Element x y z (fractional)
Na  0.0000  0.0000  0.0000
Na  0.0000  0.5000  0.5000
Na  0.2931  0.2713  0.7258
Na  0.5000  0.0000  0.0000
Na  0.7069  0.7287  0.2742
Ni  0.1226  0.3748  0.1230
Ni  0.1243  0.8775  0.6265
Ni  0.3736  0.1222  0.3713
Ni  0.3761  0.6271  0.8768
Ni  0.6239  0.3729  0.1232
Ni  0.6264  0.8778  0.6287
Ni  0.8757  0.1225  0.3735
Ni  0.8774  0.6252  0.8770
O  0.0703  0.6485  0.0313
O  0.0966  0.1490  0.5373
O  0.1543  0.6056  0.7133
O  0.1611  0.1034  0.2060
O  0.3180  0.3954  0.2735
O  0.3421  0.9027  0.7963
O  0.4020  0.3540  0.9594
O  0.4125  0.8538  0.4708
O  0.5875  0.1462  0.5292
O  0.5980  0.6460  0.0406
O  0.6579  0.0973  0.2037
O  0.6820  0.6046  0.7265
O  0.8389  0.8966  0.7940
O  0.8457  0.3944  0.2867
O  0.9034  0.8510  0.4627
O  0.9297  0.3515  0.9687

Top 8 peaks for 10° ≤ 2θ ≤ 90°, by intensity:
| 2θ (°) | I_rel |
| --- | --- |
| 16.13 | 100 |
| 41.08 | 25 |
| 42.49 | 21 |
| 43.29 | 21 |
| 32.59 | 14 |
| 36.80 | 14 |
| 35.26 | 8 |
| 37.82 | 6 |